Theoretical XRD peak list
Compound: Ba3Ta4NbO15
Radiation: Cu Kα
Structure: a crystal structure in Alexandria, relaxed with PBE

```
data_Ba3Ta4NbO15
_space_group_name_H-M_alt 'P 1'
_space_group_IT_number 1
_cell_length_a 12.7787
_cell_length_b 12.7787
_cell_length_c 4.0202
_cell_angle_alpha 90.00
_cell_angle_beta 90.00
_cell_angle_gamma 90.00
loop_
_space_group_symop_operation_xyz
'x,y,z'
loop_
_atom_site_label
_atom_site_type_symbol
_atom_site_fract_x
_atom_site_fract_y
_atom_site_fract_z
Ba1 Ba 0.0000 0.0000 0.0000
Ba2 Ba 0.1677 0.3323 0.0000
Ba3 Ba 0.3323 0.8323 0.0000
Ba4 Ba 0.5000 0.5000 0.0000
Ba5 Ba 0.6677 0.1677 0.0000
Ba6 Ba 0.8323 0.6677 0.0000
Ta1 Ta 0.0766 0.7872 0.5000
Ta2 Ta 0.2128 0.0766 0.5000
Ta3 Ta 0.2872 0.5766 0.5000
Ta4 Ta 0.4234 0.2872 0.5000
Ta5 Ta 0.5766 0.7128 0.5000
Ta6 Ta 0.7128 0.4234 0.5000
Ta7 Ta 0.7872 0.9234 0.5000
Ta8 Ta 0.9234 0.2128 0.5000
Nb1 Nb 0.0000 0.5000 0.5000
Nb2 Nb 0.5000 0.0000 0.5000
O1 O 0.0000 0.5000 0.0000
O2 O 0.0066 0.3417 0.5000
O3 O 0.0676 0.1402 0.5000
O4 O 0.0786 0.7923 0.0000
O5 O 0.1402 0.9324 0.5000
O6 O 0.1583 0.4934 0.5000
O7 O 0.2077 0.0786 0.0000
O8 O 0.2184 0.7184 0.5000
O9 O 0.2816 0.2184 0.5000
O10 O 0.2923 0.5786 0.0000
O11 O 0.3417 0.9934 0.5000
O12 O 0.3598 0.4324 0.5000
O13 O 0.4214 0.2923 0.0000
O14 O 0.4324 0.6402 0.5000
O15 O 0.4934 0.8417 0.5000
O16 O 0.5000 0.0000 0.0000
O17 O 0.5066 0.1583 0.5000
O18 O 0.5676 0.3598 0.5000
O19 O 0.5786 0.7077 0.0000
O20 O 0.6402 0.5676 0.5000
O21 O 0.6583 0.0066 0.5000
O22 O 0.7077 0.4214 0.0000
O23 O 0.7184 0.7816 0.5000
O24 O 0.7816 0.2816 0.5000
O25 O 0.7923 0.9214 0.0000
O26 O 0.8417 0.5066 0.5000
O27 O 0.8598 0.0676 0.5000
O28 O 0.9214 0.2077 0.0000
O29 O 0.9324 0.8598 0.5000
O30 O 0.9934 0.6583 0.5000
```

Principal peaks in the range 2θ = 10–90°, sorted by position:
25.13 deg, rel. 39
27.12 deg, rel. 58
28.81 deg, rel. 68
29.73 deg, rel. 37
31.36 deg, rel. 100
33.71 deg, rel. 26
45.10 deg, rel. 25
50.52 deg, rel. 24
54.40 deg, rel. 23
55.77 deg, rel. 25


Theoretical XRD peak list
Compound: Ti2TcRh9
Radiation: Cu Kα
Structure: a crystal structure in Alexandria, relaxed with PBE

```
data_Ti2TcRh9
_space_group_name_H-M_alt 'P 1'
_space_group_IT_number 1
_cell_length_a 3.8452
_cell_length_b 3.8452
_cell_length_c 11.5953
_cell_angle_alpha 90.00
_cell_angle_beta 90.00
_cell_angle_gamma 90.00
loop_
_space_group_symop_operation_xyz
'x,y,z'
loop_
_atom_site_label
_atom_site_type_symbol
_atom_site_fract_x
_atom_site_fract_y
_atom_site_fract_z
Ti1 Ti 0.0000 0.0000 0.1610
Ti2 Ti 0.0000 0.0000 0.8390
Tc1 Tc 0.0000 0.0000 0.5000
Rh1 Rh 0.0000 0.5000 0.0000
Rh2 Rh 0.0000 0.5000 0.3368
Rh3 Rh 0.0000 0.5000 0.6632
Rh4 Rh 0.5000 0.0000 0.0000
Rh5 Rh 0.5000 0.0000 0.3368
Rh6 Rh 0.5000 0.0000 0.6632
Rh7 Rh 0.5000 0.5000 0.1684
Rh8 Rh 0.5000 0.5000 0.5000
Rh9 Rh 0.5000 0.5000 0.8316
```

Principal peaks in the range 2θ = 10–90°, sorted by position:
23.13 deg, rel. 2
32.88 deg, rel. 3
40.57 deg, rel. 100
47.02 deg, rel. 16
47.28 deg, rel. 32
68.89 deg, rel. 20
69.09 deg, rel. 10
82.93 deg, rel. 12
83.31 deg, rel. 24
87.79 deg, rel. 10


Theoretical XRD peak list
Compound: LaDy9Th2
Radiation: Cu Kα
Structure: a crystal structure in Alexandria, relaxed with PBE

```
data_LaDy9Th2
_space_group_name_H-M_alt 'P 1'
_space_group_IT_number 1
_cell_length_a 5.0371
_cell_length_b 5.0371
_cell_length_c 15.1341
_cell_angle_alpha 90.00
_cell_angle_beta 90.00
_cell_angle_gamma 90.00
loop_
_space_group_symop_operation_xyz
'x,y,z'
loop_
_atom_site_label
_atom_site_type_symbol
_atom_site_fract_x
_atom_site_fract_y
_atom_site_fract_z
La1 La 0.0000 0.0000 0.0000
Dy1 Dy 0.0000 0.5000 0.1719
Dy2 Dy 0.0000 0.5000 0.5000
Dy3 Dy 0.0000 0.5000 0.8281
Dy4 Dy 0.5000 0.0000 0.1719
Dy5 Dy 0.5000 0.0000 0.5000
Dy6 Dy 0.5000 0.0000 0.8281
Dy7 Dy 0.5000 0.5000 0.0000
Dy8 Dy 0.5000 0.5000 0.3347
Dy9 Dy 0.5000 0.5000 0.6653
Th1 Th 0.0000 0.0000 0.3346
Th2 Th 0.0000 0.0000 0.6654
```

Principal peaks in the range 2θ = 10–90°, sorted by position:
30.73 deg, rel. 100
35.63 deg, rel. 51
51.27 deg, rel. 36
60.97 deg, rel. 43
64.00 deg, rel. 12
75.36 deg, rel. 2
75.50 deg, rel. 4
83.64 deg, rel. 18
86.30 deg, rel. 11
86.38 deg, rel. 6


Theoretical XRD peak list
Compound: CePrHo2Tm4
Radiation: Cu Kα
Structure: a crystal structure in Alexandria, relaxed with PBE

```
data_CePrHo2Tm4
_space_group_name_H-M_alt 'P 1'
_space_group_IT_number 1
_cell_length_a 5.0128
_cell_length_b 5.0319
_cell_length_c 9.8676
_cell_angle_alpha 90.00
_cell_angle_beta 90.00
_cell_angle_gamma 90.00
loop_
_space_group_symop_operation_xyz
'x,y,z'
loop_
_atom_site_label
_atom_site_type_symbol
_atom_site_fract_x
_atom_site_fract_y
_atom_site_fract_z
Ce1 Ce 0.0000 0.0000 0.0000
Pr1 Pr 0.5000 0.5000 0.5000
Ho1 Ho 0.0000 0.0000 0.5000
Ho2 Ho 0.5000 0.5000 0.0000
Tm1 Tm 0.0000 0.5000 0.2456
Tm2 Tm 0.0000 0.5000 0.7544
Tm3 Tm 0.5000 0.0000 0.2460
Tm4 Tm 0.5000 0.0000 0.7540
```

Principal peaks in the range 2θ = 10–90°, sorted by position:
31.03 deg, rel. 100
35.69 deg, rel. 17
35.83 deg, rel. 17
36.42 deg, rel. 16
51.46 deg, rel. 12
51.91 deg, rel. 12
61.23 deg, rel. 15
61.41 deg, rel. 14
62.21 deg, rel. 14
64.68 deg, rel. 12


Theoretical XRD peak list
Compound: Ac2La3H
Radiation: Cu Kα
Structure: a crystal structure in Alexandria, relaxed with PBE

```
data_Ac2La3H
_space_group_name_H-M_alt 'P 1'
_space_group_IT_number 1
_cell_length_a 5.6538
_cell_length_b 5.6538
_cell_length_c 7.5355
_cell_angle_alpha 90.00
_cell_angle_beta 90.00
_cell_angle_gamma 120.00
loop_
_space_group_symop_operation_xyz
'x,y,z'
loop_
_atom_site_label
_atom_site_type_symbol
_atom_site_fract_x
_atom_site_fract_y
_atom_site_fract_z
Ac1 Ac 0.0000 0.0000 0.2423
Ac2 Ac 0.0000 0.0000 0.7577
La1 La 0.3333 0.6667 0.0000
La2 La 0.6667 0.3333 0.0000
La3 La 0.6667 0.3333 0.5000
H1 H 0.3333 0.6667 0.5000
```

Principal peaks in the range 2θ = 10–90°, sorted by position:
18.12 deg, rel. 26
29.92 deg, rel. 100
31.65 deg, rel. 73
44.11 deg, rel. 35
55.30 deg, rel. 36
56.37 deg, rel. 14
58.91 deg, rel. 25
66.11 deg, rel. 9
74.23 deg, rel. 15
77.36 deg, rel. 11


Theoretical XRD peak list
Compound: La2UGeRh6
Radiation: Cu Kα
Structure: a crystal structure in Alexandria, relaxed with PBE

```
data_La2UGeRh6
_space_group_name_H-M_alt 'P 1'
_space_group_IT_number 1
_cell_length_a 5.6863
_cell_length_b 6.6456
_cell_length_c 6.6696
_cell_angle_alpha 81.93
_cell_angle_beta 64.86
_cell_angle_gamma 64.67
loop_
_space_group_symop_operation_xyz
'x,y,z'
loop_
_atom_site_label
_atom_site_type_symbol
_atom_site_fract_x
_atom_site_fract_y
_atom_site_fract_z
La1 La 0.0319 0.2295 0.2060
La2 La 0.9681 0.7705 0.7940
U1 U 0.5000 0.0000 0.5000
Ge1 Ge 0.5000 0.5000 0.0000
Rh1 Rh 0.0021 0.2408 0.7517
Rh2 Rh 0.3502 0.4037 0.4011
Rh3 Rh 0.4944 0.7617 0.2457
Rh4 Rh 0.5056 0.2383 0.7543
Rh5 Rh 0.6498 0.5963 0.5989
Rh6 Rh 0.9979 0.7592 0.2483
```

Principal peaks in the range 2θ = 10–90°, sorted by position:
14.69 deg, rel. 37
27.91 deg, rel. 83
27.97 deg, rel. 29
28.49 deg, rel. 65
37.76 deg, rel. 46
38.38 deg, rel. 100
41.37 deg, rel. 70
41.71 deg, rel. 48
41.88 deg, rel. 54
57.79 deg, rel. 31